(1)
The following is a simulated powder diffractogram of CdSbO4. It was derived from DFT lattice parameters and positions (GGA-PBE), using Cu Kα (λ = 1.5418 Å).

Structure:
abc: 5.612 5.612 6.154
angles: 106.78 106.78 97.18
Fractional positions:
Cd1 0.102 0.898 0.750
Cd2 0.898 0.102 0.250
Sb1 0.477 0.523 0.250
Sb2 0.523 0.477 0.750
O1 0.174 0.236 0.089
O2 0.236 0.174 0.589
O3 0.328 0.642 0.518
O4 0.358 0.672 0.982
O5 0.642 0.328 0.018
O6 0.672 0.358 0.482
O7 0.764 0.826 0.411
O8 0.826 0.764 0.911

Main lines, low angle first (10 to 90 degrees two-theta):
2θ (°)  I_rel
18.94  12.5
21.11  49.2
26.65  100.0
31.73  25.1
32.34  20.8
32.47  18.0
38.42  18.1
38.94  15.5
43.67  21.2
50.00  13.6

=====

(2)
The following is a simulated powder diffractogram of Cd6SbO8. It was derived from DFT lattice parameters and positions (GGA-PBE), using Cu Kα (λ = 1.5418 Å).

Structure:
abc: 6.792 6.792 6.792
angles: 60.00 60.00 60.00
Fractional positions:
Cd1 0.000 0.000 0.500
Cd2 0.000 0.500 0.000
Cd3 0.000 0.500 0.500
Cd4 0.500 0.000 0.000
Cd5 0.500 0.000 0.500
Cd6 0.500 0.500 0.000
Sb1 0.000 0.000 0.000
O1 0.214 0.214 0.786
O2 0.214 0.786 0.214
O3 0.214 0.786 0.786
O4 0.250 0.250 0.250
O5 0.750 0.750 0.750
O6 0.786 0.214 0.214
O7 0.786 0.214 0.786
O8 0.786 0.786 0.214

Main lines, low angle first (10 to 90 degrees two-theta):
2θ (°)  I_rel
15.98  25.6
18.47  7.0
30.88  9.5
32.29  100.0
37.45  91.8
54.01  57.8
64.34  43.9
67.57  18.3
79.90  8.4
88.81  20.0

=====

(3)
The following is a simulated powder diffractogram of YbTiCdSbO7. It was derived from DFT lattice parameters and positions (GGA-PBE), using Cu Kα (λ = 1.5418 Å).

Structure:
abc: 7.300 7.300 10.346
angles: 90.00 90.00 90.00
Fractional positions:
Yb1 0.000 0.260 0.000
Yb2 0.000 0.740 0.500
Yb3 0.260 0.000 0.750
Yb4 0.740 0.000 0.250
Ti1 0.000 0.239 0.500
Ti2 0.000 0.761 0.000
Ti3 0.239 0.000 0.250
Ti4 0.761 0.000 0.750
Cd1 0.253 0.500 0.750
Cd2 0.500 0.253 0.000
Cd3 0.500 0.747 0.500
Cd4 0.747 0.500 0.250
Sb1 0.244 0.500 0.250
Sb2 0.500 0.244 0.500
Sb3 0.500 0.756 0.000
Sb4 0.756 0.500 0.750
O1 0.049 0.049 0.375
O2 0.049 0.951 0.125
O3 0.051 0.450 0.381
O4 0.051 0.550 0.119
O5 0.237 0.249 0.176
O6 0.237 0.751 0.324
O7 0.249 0.237 0.574
O8 0.249 0.249 0.875
O9 0.249 0.751 0.625
O10 0.249 0.763 0.926
O11 0.450 0.051 0.369
O12 0.450 0.949 0.131
O13 0.451 0.451 0.375
O14 0.451 0.549 0.125
O15 0.549 0.451 0.625
O16 0.549 0.549 0.875
O17 0.550 0.051 0.631
O18 0.550 0.949 0.869
O19 0.751 0.237 0.426
O20 0.751 0.249 0.125
O21 0.751 0.751 0.375
O22 0.751 0.763 0.074
O23 0.763 0.249 0.824
O24 0.763 0.751 0.676
O25 0.949 0.450 0.619
O26 0.949 0.550 0.881
O27 0.951 0.049 0.625
O28 0.951 0.951 0.875

Main lines, low angle first (10 to 90 degrees two-theta):
2θ (°)  I_rel
19.22  11.6
29.96  100.0
34.73  31.7
37.96  7.8
49.94  45.4
59.27  13.9
59.37  27.2
62.26  9.9
81.17  16.3
83.79  9.0

=====

(4)
The following is a simulated powder diffractogram of YbTiCdSbO7. It was derived from DFT lattice parameters and positions (GGA-PBE), using Cu Kα (λ = 1.5418 Å).

Structure:
abc: 7.301 7.301 7.301
angles: 120.93 118.80 90.25
Fractional positions:
Yb1 0.000 0.000 0.000
Yb2 0.500 0.000 0.500
Ti1 0.500 0.000 0.000
Ti2 0.500 0.500 0.500
Cd1 0.000 0.000 0.500
Cd2 0.000 0.500 0.000
Sb1 0.000 0.500 0.500
Sb2 0.500 0.500 0.000
O1 0.129 0.879 0.250
O2 0.169 0.419 0.750
O3 0.178 0.417 0.351
O4 0.178 0.827 0.761
O5 0.429 0.179 0.250
O6 0.434 0.173 0.851
O7 0.434 0.583 0.261
O8 0.566 0.417 0.739
O9 0.566 0.827 0.149
O10 0.571 0.821 0.750
O11 0.822 0.173 0.239
O12 0.822 0.583 0.649
O13 0.831 0.581 0.250
O14 0.871 0.121 0.750

Main lines, low angle first (10 to 90 degrees two-theta):
2θ (°)  I_rel
17.21  14.4
29.64  100.0
30.29  92.0
34.69  40.9
34.83  20.1
49.02  15.0
49.98  58.3
50.73  14.3
58.72  27.4
59.86  26.1

=====

(5)
The following is a simulated powder diffractogram of UCd2SbO8. It was derived from DFT lattice parameters and positions (GGA-PBE), using Cu Kα (λ = 1.5418 Å).

Structure:
abc: 5.038 6.759 5.039
angles: 90.00 92.11 90.00
Fractional positions:
U1 0.000 0.000 0.000
Cd1 0.500 0.259 0.500
Cd2 0.500 0.741 0.500
Sb1 0.000 0.500 0.000
O1 0.178 0.263 0.820
O2 0.178 0.737 0.820
O3 0.280 0.500 0.278
O4 0.281 0.000 0.279
O5 0.719 0.000 0.721
O6 0.720 0.500 0.722
O7 0.822 0.263 0.180
O8 0.822 0.737 0.180

Main lines, low angle first (10 to 90 degrees two-theta):
2θ (°)  I_rel
17.61  12.9
22.01  11.1
24.54  62.1
25.47  52.6
31.89  100.0
35.66  29.2
48.05  44.4
49.11  35.3
60.43  10.4
61.70  22.3

=====

(6)
The following is a simulated powder diffractogram of ScCdO. It was derived from DFT lattice parameters and positions (GGA-PBE), using Cu Kα (λ = 1.5418 Å).

Structure:
abc: 5.989 3.454 10.454
angles: 90.00 100.91 90.00
Fractional positions:
Sc1 0.211 0.000 0.134
Sc2 0.289 0.500 0.866
Sc3 0.711 0.500 0.134
Sc4 0.789 0.000 0.866
Cd1 0.128 0.500 0.384
Cd2 0.372 0.000 0.616
Cd3 0.628 0.000 0.384
Cd4 0.872 0.500 0.616
O1 0.138 0.000 0.914
O2 0.362 0.500 0.086
O3 0.638 0.500 0.914
O4 0.862 0.000 0.086

Main lines, low angle first (10 to 90 degrees two-theta):
2θ (°)  I_rel
30.00  35.8
30.43  23.1
32.09  100.0
33.28  97.3
34.96  64.8
36.30  91.5
38.09  69.0
52.99  61.9
65.06  37.5
65.49  20.1